Entry 1:
# NaMgAgPd
Simulated powder XRD pattern, Cu Kα (weighted mean of Kα1 and Kα2). Input: a crystal structure in Alexandria, relaxed with GGA-PBE.
Intensities are scaled so that the largest is 100.

Structural model:
```
data_NaMgAgPd
_cell_length_a 6.657
_cell_length_b 6.657
_cell_length_c 6.657
_cell_angle_alpha 90.00
_cell_angle_beta 90.00
_cell_angle_gamma 90.00
_space_group_name_H-M_alt 'F -4 3 m'
_space_group_IT_number 216
_space_group_name_Hall 'F -4 2 3'
loop_
_atom_site_label
_atom_site_fract_x
_atom_site_fract_y
_atom_site_fract_z
Na1 0.000 0.000 0.000
Mg1 0.000 0.000 0.500
Ag1 0.250 0.250 0.250
Pd1 0.250 0.250 0.750
```

Main lines, by angle (10 to 90 degrees two-theta):
2theta  I_rel  hkl
26.79  51  2 0 0
38.24  100  2 2 0
47.31  14  2 2 2
55.20  17  4 0 0
62.39  18  4 2 0
69.13  32  4 2 2
81.86  10  4 4 0
88.04  9  6 0 0


Entry 2:
# Au2SeBr3
Simulated powder XRD pattern, Cu Kα (weighted mean of Kα1 and Kα2). Input: a crystal structure in Alexandria, relaxed with GGA-PBE.
Intensities are scaled so that the largest is 100.

Structural model:
```
data_Au2SeBr3
_cell_length_a 6.569
_cell_length_b 7.113
_cell_length_c 9.189
_cell_angle_alpha 90.07
_cell_angle_beta 94.97
_cell_angle_gamma 114.26
_space_group_name_H-M_alt 'P -1'
_space_group_IT_number 2
_space_group_name_Hall '-P 1'
loop_
_atom_site_label
_atom_site_fract_x
_atom_site_fract_y
_atom_site_fract_z
Au1 0.105 0.168 0.115
Au2 0.115 0.487 0.695
Se1 0.136 0.654 0.944
Br1 0.114 0.343 0.432
Br2 0.348 0.317 0.797
Br3 0.360 0.011 0.209
```

Main lines, by angle (10 to 90 degrees two-theta):
2theta  I_rel  hkl
14.86  100  1 0 0
16.44  43  0 1 -1
17.83  27  -1 1 1
24.10  40  1 1 0
25.25  74  1 1 -1
29.82  30  1 1 -2
32.50  47  -1 1 3
32.97  51  0 1 3
33.36  62  2 -2 1
44.41  28  3 -2 1